(1)
Computed powder diffractogram of LiHfSe2 for CuKα, from a crystal structure in the Materials Project, relaxed with PBE.

Cell and atoms:
Cell: 3.7131 3.7131 6.6794 Å, 90.00 90.00 120.00°
Fractional positions:
Li  0.0000  0.0000  0.0000
Hf  0.0000  0.0000  0.5000
Se  0.3333  0.6667  0.7489
Se  0.6667  0.3333  0.2511

Principal peaks in the range 10 to 80 degrees two-theta, low angle first:
2θ (°), Rel. int.
13.26, 74
27.74, 14
30.86, 100
38.88, 76
49.07, 33
49.81, 27
51.06, 15
54.99, 8
59.10, 16
64.30, 17
72.52, 9
76.77, 18

---

(2)
Computed powder diffractogram of Lu4Hf3O12 for CuKα, from a crystal structure in the Materials Project, relaxed with PBE.

Cell and atoms:
Cell: 6.3123 6.3252 12.6206 Å, 99.06 99.40 99.46°
Fractional positions:
Lu  0.1103  0.1375  0.4039
Lu  0.1847  0.3902  0.6804
Lu  0.1968  0.3898  0.1803
Lu  0.3586  0.6879  0.9456
Lu  0.6414  0.3121  0.0544
Lu  0.8032  0.6102  0.8197
Lu  0.8153  0.6098  0.3196
Lu  0.8897  0.8625  0.5961
Hf  0.1113  0.1405  0.9051
Hf  0.3592  0.6831  0.4449
Hf  0.4948  0.9946  0.7486
Hf  0.5052  0.0054  0.2514
Hf  0.6408  0.3169  0.5551
Hf  0.8887  0.8595  0.0949
O  0.0733  0.4163  0.8412
O  0.0729  0.8311  0.9631
O  0.0885  0.8194  0.4636
O  0.0951  0.4346  0.3424
O  0.1784  0.0550  0.7143
O  0.1819  0.0415  0.2032
O  0.3144  0.4051  0.0308
O  0.3287  0.4253  0.5358
O  0.4198  0.6804  0.7768
O  0.4203  0.6906  0.2872
O  0.4322  0.0836  0.9066
O  0.4580  0.0930  0.4118
O  0.5420  0.9070  0.5882
O  0.5678  0.9164  0.0934
O  0.5797  0.3094  0.7128
O  0.5802  0.3196  0.2232
O  0.6713  0.5747  0.4642
O  0.6856  0.5949  0.9692
O  0.8181  0.9585  0.7968
O  0.8216  0.9450  0.2857
O  0.9049  0.5654  0.6576
O  0.9115  0.1806  0.5364
O  0.9271  0.1689  0.0369
O  0.9267  0.5837  0.1588

Principal peaks in the range 10 to 80 degrees two-theta, low angle first:
2θ (°), Rel. int.
29.79, 31
30.05, 100
34.64, 15
34.82, 31
49.76, 17
49.88, 9
50.09, 18
50.24, 9
59.23, 15
59.50, 17
59.65, 8
62.46, 8

---

(3)
Computed powder diffractogram of LuHfRh2 for CuKα, from a crystal structure in the Materials Project, relaxed with PBE.

Cell and atoms:
Cell: 4.6880 4.6880 4.6880 Å, 60.00 60.00 60.00°
Fractional positions:
Lu  0.0000  0.0000  0.0000
Hf  0.5000  0.5000  0.5000
Rh  0.2500  0.2500  0.2500
Rh  0.7500  0.7500  0.7500

Principal peaks in the range 10 to 80 degrees two-theta, low angle first:
2θ (°), Rel. int.
26.90, 7
38.40, 100
47.51, 2
55.44, 17
62.67, 3
69.45, 35

---

(4)
Computed powder diffractogram of LuHfRu2 for CuKα, from a crystal structure in the Materials Project, relaxed with PBE.

Cell and atoms:
Cell: 4.6415 4.6415 4.6415 Å, 60.00 60.00 60.00°
Fractional positions:
Lu  0.0000  0.0000  0.0000
Hf  0.5000  0.5000  0.5000
Ru  0.2500  0.2500  0.2500
Ru  0.7500  0.7500  0.7500

Principal peaks in the range 10 to 80 degrees two-theta, low angle first:
2θ (°), Rel. int.
27.17, 8
38.80, 100
48.01, 3
56.04, 17
63.37, 3
70.25, 35

---

(5)
Computed powder diffractogram of HfMg3 for CuKα, from a crystal structure in the Materials Project, relaxed with PBE.

Cell and atoms:
Cell: 4.4334 4.4334 4.4334 Å, 90.00 90.00 90.00°
Fractional positions:
Hf  0.0000  0.0000  0.0000
Mg  0.0000  0.5000  0.5000
Mg  0.5000  0.0000  0.5000
Mg  0.5000  0.5000  0.0000

Principal peaks in the range 10 to 80 degrees two-theta, low angle first:
2θ (°), Rel. int.
20.03, 100
28.47, 86
35.06, 95
40.70, 47
45.76, 48
50.42, 37
58.92, 32
62.89, 24
66.72, 16
70.44, 37
74.08, 11
77.65, 11

---

(6)
Computed powder diffractogram of HfMg3 for CuKα, from a crystal structure in the Materials Project, relaxed with PBE.

Cell and atoms:
Cell: 5.4795 5.4795 5.4795 Å, 132.05 132.05 70.14°
Fractional positions:
Hf  0.0000  0.0000  0.0000
Mg  0.2500  0.7500  0.5000
Mg  0.5000  0.5000  0.0000
Mg  0.7500  0.2500  0.5000

Principal peaks in the range 10 to 80 degrees two-theta, low angle first:
2θ (°), Rel. int.
19.80, 33
22.29, 100
28.35, 28
34.82, 94
36.19, 30
40.22, 16
40.52, 31
45.49, 16
46.73, 29
55.44, 18
58.41, 21
70.04, 24

---

(7)
Computed powder diffractogram of HfMg3 for CuKα, from a crystal structure in the Materials Project, relaxed with PBE.

Cell and atoms:
Cell: 4.9795 4.9795 4.9795 Å, 60.00 60.00 60.00°
Fractional positions:
Hf  0.0000  0.0000  0.0000
Mg  0.2500  0.2500  0.2500
Mg  0.5000  0.5000  0.5000
Mg  0.7500  0.7500  0.7500

Principal peaks in the range 10 to 80 degrees two-theta, low angle first:
2θ (°), Rel. int.
21.86, 82
25.29, 43
36.07, 100
42.58, 45
44.57, 13
51.94, 18
57.00, 19
58.63, 18
64.87, 36
69.34, 14
76.53, 11

---

(8)
Computed powder diffractogram of Hf2Mg for CuKα, from a crystal structure in the Materials Project, relaxed with PBE.

Cell and atoms:
Cell: 5.6786 5.6786 4.9686 Å, 90.00 90.00 90.00°
Fractional positions:
Hf  0.1701  0.1701  0.0000
Hf  0.3299  0.6701  0.5000
Hf  0.6701  0.3299  0.5000
Hf  0.8299  0.8299  0.0000
Mg  0.0000  0.0000  0.5000
Mg  0.5000  0.5000  0.0000

Principal peaks in the range 10 to 80 degrees two-theta, low angle first:
2θ (°), Rel. int.
22.14, 15
23.80, 44
28.58, 100
31.51, 14
35.34, 53
36.16, 26
39.87, 15
48.93, 20
51.46, 37
51.68, 38
60.47, 12
76.41, 12

---

(9)
Computed powder diffractogram of HfMg3 for CuKα, from a crystal structure in the Materials Project, relaxed with PBE.

Cell and atoms:
Cell: 3.0257 5.0893 5.7935 Å, 90.00 90.00 90.00°
Fractional positions:
Hf  0.0000  0.0000  0.0000
Mg  0.0000  0.5000  0.6893
Mg  0.5000  0.0000  0.4982
Mg  0.5000  0.5000  0.1730

Principal peaks in the range 10 to 80 degrees two-theta, low angle first:
2θ (°), Rel. int.
15.29, 100
17.43, 72
23.26, 72
30.87, 25
33.41, 46
34.48, 28
35.27, 37
35.66, 64
37.92, 99
46.95, 25
49.37, 31
56.53, 25

---

(10)
Computed powder diffractogram of HfMg7 for CuKα, from a crystal structure in the Materials Project, relaxed with PBE.

Cell and atoms:
Cell: 6.4082 6.4082 5.0653 Å, 90.00 90.00 120.00°
Fractional positions:
Hf  0.0000  0.0000  0.0000
Mg  0.0022  0.5011  0.0000
Mg  0.1636  0.3272  0.5000
Mg  0.1636  0.8364  0.5000
Mg  0.4989  0.5011  0.0000
Mg  0.4989  0.9978  0.0000
Mg  0.6667  0.3333  0.5000
Mg  0.6728  0.8364  0.5000

Principal peaks in the range 10 to 80 degrees two-theta, low angle first:
2θ (°), Rel. int.
15.97, 87
17.51, 23
23.78, 67
27.84, 23
32.26, 35
33.08, 30
35.44, 24
36.94, 100
39.10, 20
46.88, 24
48.68, 22
69.42, 19

---

(11)
Computed powder diffractogram of HfMg3 for CuKα, from a crystal structure in the Materials Project, relaxed with PBE.

Cell and atoms:
Cell: 6.3100 6.3100 5.0310 Å, 90.00 90.00 120.00°
Fractional positions:
Hf  0.3333  0.6667  0.2500
Hf  0.6667  0.3333  0.7500
Mg  0.1678  0.3357  0.7500
Mg  0.1678  0.8322  0.7500
Mg  0.3357  0.1678  0.2500
Mg  0.6643  0.8322  0.7500
Mg  0.8322  0.1678  0.2500
Mg  0.8322  0.6643  0.2500

Principal peaks in the range 10 to 80 degrees two-theta, low angle first:
2θ (°), Rel. int.
16.22, 42
24.04, 100
28.29, 45
32.78, 22
35.69, 23
37.46, 92
46.15, 24
47.59, 34
49.24, 14
58.51, 17
65.28, 18
70.46, 19

---

(12)
Computed powder diffractogram of NaHfMg14O15 for CuKα, from a crystal structure in the Materials Project, relaxed with PBE.

Cell and atoms:
Cell: 4.3374 8.6167 8.6326 Å, 90.00 90.00 90.00°
Fractional positions:
Na  0.0000  0.0000  0.0000
Hf  0.0000  0.5000  0.5072
Mg  0.0000  0.0000  0.4999
Mg  0.0000  0.2409  0.7605
Mg  0.0000  0.2432  0.2401
Mg  0.0000  0.5000  0.0016
Mg  0.0000  0.7568  0.2401
Mg  0.0000  0.7591  0.7605
Mg  0.5000  0.0000  0.2443
Mg  0.5000  0.0000  0.7563
Mg  0.5000  0.2397  0.5012
Mg  0.5000  0.2453  0.9993
Mg  0.5000  0.5000  0.2416
Mg  0.5000  0.5000  0.7562
Mg  0.5000  0.7547  0.9993
Mg  0.5000  0.7603  0.5012
O  0.0000  0.0000  0.2665
O  0.0000  0.0000  0.7331
O  0.0000  0.2569  0.4994
O  0.0000  0.2650  0.9999
O  0.0000  0.5000  0.2494
O  0.0000  0.7350  0.9999
O  0.0000  0.7431  0.4994
O  0.5000  0.0000  0.0013
O  0.5000  0.0000  0.4990
O  0.5000  0.2452  0.7488
O  0.5000  0.2507  0.2523
O  0.5000  0.5000  0.0002
O  0.5000  0.5000  0.4938
O  0.5000  0.7493  0.2523
O  0.5000  0.7548  0.7488

Principal peaks in the range 10 to 80 degrees two-theta, low angle first:
2θ (°), Rel. int.
10.26, 84
14.52, 43
20.59, 23
22.99, 56
25.20, 26
31.03, 50
36.00, 48
41.65, 52
41.90, 100
60.55, 59
60.75, 29
76.35, 27

---

(13)
Computed powder diffractogram of NaHfMg6O7 for CuKα, from a crystal structure in the Materials Project, relaxed with PBE.

Cell and atoms:
Cell: 4.3671 4.3671 8.7562 Å, 90.00 90.00 90.00°
Fractional positions:
Na  0.0000  0.0000  0.0000
Hf  0.0000  0.0000  0.4905
Mg  0.0000  0.5000  0.2297
Mg  0.0000  0.5000  0.7638
Mg  0.5000  0.0000  0.2297
Mg  0.5000  0.0000  0.7638
Mg  0.5000  0.5000  0.4935
Mg  0.5000  0.5000  0.9974
O  0.0000  0.0000  0.7330
O  0.0000  0.5000  0.5006
O  0.0000  0.5000  0.9960
O  0.5000  0.0000  0.5006
O  0.5000  0.0000  0.9960
O  0.5000  0.5000  0.2498
O  0.5000  0.5000  0.7414

Principal peaks in the range 10 to 80 degrees two-theta, low angle first:
2θ (°), Rel. int.
10.10, 100
20.31, 67
22.75, 76
28.89, 66
30.68, 55
35.58, 60
41.24, 36
41.35, 76
42.65, 22
46.46, 32
51.20, 28
59.85, 67